1.
# Na2AlPCO7
Theoretical X-ray diffraction stick pattern, Cu Ka. Input: a crystal structure in the Materials Project, relaxed with PBE.

Cell and atoms:
Lattice parameters (Å, degrees): 5.1717 6.4036 8.8870 90.00 91.78 90.00
Space group P2_1/m (No. 11)
Asymmetric unit:
Na 0.2369 0.0047 0.2723 x4
Al 0.2174 0.2500 0.8500 x2
P 0.2792 0.7500 0.9304 x2
C 0.2721 0.2500 0.5834 x2
O 0.0451 0.2500 0.6456 x2
O 0.1205 0.7500 0.0767 x2
O 0.2154 0.5536 0.8359 x4
O 0.3083 0.2500 0.4450 x2
O 0.4251 0.2500 0.0248 x2
O 0.4618 0.2500 0.6878 x2

Most intense lines, 2θ = 10–90°, by angle:
17.07°, rel. 52; 24.07°, rel. 31; 24.51°, rel. 76; 26.04°, rel. 67; 27.86°, rel. 44; 34.30°, rel. 33; 34.51°, rel. 100; 34.68°, rel. 72; 50.25°, rel. 28; 57.57°, rel. 28



2.
# Ho2Ge5Rh3
Theoretical X-ray diffraction stick pattern, Cu Ka. Input: a crystal structure in the Materials Project, relaxed with PBE.

Cell and atoms:
Lattice parameters (Å, degrees): 11.3437 12.2514 5.8827 90.00 118.06 90.00
Space group C2/c (No. 15)
Asymmetric unit:
Ho 0.2307 0.1396 0.2366 x8
Ge 0.0000 0.0135 0.2500 x4
Ge 0.0000 0.2777 0.2500 x4
Ge 0.0000 0.2931 0.7500 x4
Ge 0.1701 0.4053 0.1692 x8
Rh 0.0000 0.4975 0.7500 x4
Rh 0.0966 0.1420 0.6262 x8

Most intense lines, 2θ = 10–90°, by angle:
29.16°, rel. 21; 30.44°, rel. 20; 33.52°, rel. 54; 34.33°, rel. 76; 34.56°, rel. 66; 34.86°, rel. 64; 36.30°, rel. 36; 42.65°, rel. 100; 45.93°, rel. 19; 63.33°, rel. 23



3.
# EuTmO3
Theoretical X-ray diffraction stick pattern, Cu Ka. Input: a crystal structure in the Materials Project, relaxed with PBE.

Cell and atoms:
Lattice parameters (Å, degrees): 4.2685 4.2685 4.2685 90.00 90.00 90.00
Space group Pm-3m (No. 221)
Asymmetric unit:
Eu 0.0000 0.0000 0.0000 x1
Tm 0.5000 0.5000 0.5000 x1
O 0.0000 0.5000 0.5000 x3

Most intense lines, 2θ = 10–90°, by angle:
20.81°, rel. 2; 29.60°, rel. 100; 36.46°, rel. 1; 42.35°, rel. 28; 47.64°, rel. 1; 52.51°, rel. 42; 61.44°, rel. 18; 69.66°, rel. 18; 77.46°, rel. 6; 85.03°, rel. 22



4.
# Ba2LuUO6
Theoretical X-ray diffraction stick pattern, Cu Ka. Input: a crystal structure in the Materials Project, relaxed with PBE.

Cell and atoms:
Lattice parameters (Å, degrees): 8.7103 8.7103 8.7103 90.00 90.00 90.00
Space group Fm-3m (No. 225)
Asymmetric unit:
Ba 0.2500 0.2500 0.2500 x8
Lu 0.0000 0.0000 0.0000 x4
U 0.0000 0.0000 0.5000 x4
O 0.0000 0.0000 0.2524 x24

Most intense lines, 2θ = 10–90°, by angle:
20.39°, rel. 9; 28.99°, rel. 100; 41.47°, rel. 28; 46.63°, rel. 4; 51.39°, rel. 42; 60.09°, rel. 18; 64.15°, rel. 2; 68.08°, rel. 19; 75.64°, rel. 6; 82.96°, rel. 23